Calculated X-ray powder pattern
Compound: Ti6PtO
Radiation: copper Kα
Structure: the GGA-PBE geometry in Alexandria
Intensities are scaled so that the largest is 100.

Principal peaks in the range 2θ from 5° to 70°, most intense first:
39.92°, 2.258 Å, I 100, hkl 1 2 -1; 40.40°, 2.232 Å, I 99, hkl -1 1 2; 38.61°, 2.332 Å, I 95, hkl 2 0 -1; 39.11°, 2.303 Å, I 95, hkl 1 1 1; 38.20°, 2.356 Å, I 93, hkl 0 1 -2; 39.25°, 2.296 Å, I 83, hkl 1 -2 0; 21.51°, 4.132 Å, I 60, hkl 1 0 -1; 18.11°, 4.898 Å, I 56, hkl 0 0 1; 26.81°, 3.325 Å, I 55, hkl 0 1 1; 17.08°, 5.192 Å, I 50, hkl 0 1 0

Structural model:
Lattice parameters (Å, degrees): 4.6706 5.2524 5.3737 97.67 112.78 90.78
Space group P-1 (No. 2)
Inequivalent atoms, fractional coordinates:
Ti  0.0636  0.2943  0.1531 x2
Ti  0.2104  0.8355  0.4463 x2
Ti  0.4129  0.3941  0.7465 x2
Pt  0.5000  0.0000  0.0000 x1
O  0.0000  0.5000  0.5000 x1